# 1
Computed XRD peak list of Sr2HfTiO6 for Cu Ka, from the GGA-PBE geometry in the Materials Project.
No peak broadening, texture or thermal motion is included.

Largest 10 diffraction maxima, sorted by position, 2θ = 5–70°:
two_theta, Rel. int.
19.04, 25
22.02, 6
31.34, 100
36.93, 16
44.92, 33
49.20, 8
55.79, 40
59.51, 5
65.40, 20
68.81, 5

Structural model:
```
Sr2HfTiO6
1.0
4.942 -2.855 0.000
4.942 2.855 0.000
-3.299 0.000 4.660
Sr Hf Ti O
2 1 1 6
Cartesian
1.648 0.000 1.162
4.935 0.000 3.498
4.942 0.000 0.000
-1.650 0.000 2.330
4.022 1.462 1.142
0.032 0.000 3.357
2.561 1.462 3.518
4.022 -1.462 1.142
6.551 0.000 1.303
2.561 -1.462 3.518
```

=====

# 2
Computed XRD peak list of Sr2HfTiO6 for Cu Ka, from the GGA-PBE geometry in the Materials Project.
No peak broadening, texture or thermal motion is included.

Largest 10 diffraction maxima, sorted by position, 2θ = 5–70°:
two_theta, Rel. int.
19.01, 25
21.99, 6
31.29, 100
36.87, 16
44.84, 33
49.12, 8
55.69, 40
59.40, 5
65.28, 20
68.68, 5

Structural model:
```
Sr2HfTiO6
1.0
0.000 4.043 4.043
4.043 0.000 4.043
4.043 4.043 0.000
Sr Hf Ti O
2 1 1 6
Cartesian
2.021 2.021 2.021
6.064 6.064 6.064
0.000 0.000 0.000
4.043 4.043 4.043
4.043 4.043 2.069
4.043 2.069 4.043
6.016 4.043 4.043
2.069 4.043 4.043
4.043 6.016 4.043
4.043 4.043 6.016
```